(1)
For Sr3Ta2N4, a crystal structure in the Materials Project, relaxed with GGA-PBE gives the simulated X-ray diffraction stick pattern in this record (λ = 1.5418 Å (Cu Kα)).
Kinematic intensities with the Lorentz-polarization factor, no thermal factor.

Atomic structure:
Cell: 15.1160 8.4126 5.4445 Å, 90.00 91.17 90.00°
Space group C2/c (No. 15)
Symmetry-distinct sites (fractional):
Sr 0.0000 0.1212 0.2500 (multiplicity 4)
Sr 0.1295 0.3755 0.5529 (multiplicity 8)
Ta 0.1969 0.1009 0.9484 (multiplicity 8)
N 0.1273 0.0685 0.6303 (multiplicity 8)
N 0.1676 0.3174 0.0614 (multiplicity 8)

Top 6 peaks for 10 to 80 degrees two-theta, by intensity:
two_theta	I (rel.)	hkl
29.5	100.0	2 2 1
11.7	76.7	2 0 0
26.1	59.0	3 1 -1
31.4	52.6	5 1 0
35.7	36.9	4 2 -1
40.2	36.1	3 3 -1



(2)
For Dy2MgS4, a crystal structure in the Materials Project, relaxed with GGA-PBE gives the simulated X-ray diffraction stick pattern in this record (λ = 1.5418 Å (Cu Kα)).
Kinematic intensities with the Lorentz-polarization factor, no thermal factor.

Atomic structure:
Cell: 12.5957 3.8473 13.4956 Å, 90.00 90.00 90.00°
Space group Pnma (No. 62)
Symmetry-distinct sites (fractional):
Dy 0.1177 0.2500 0.0750 (multiplicity 4)
Dy 0.1385 0.2500 0.7052 (multiplicity 4)
Mg 0.1109 0.7500 0.4525 (multiplicity 4)
S 0.0090 0.7500 0.6152 (multiplicity 4)
S 0.0277 0.2500 0.8835 (multiplicity 4)
S 0.2250 0.2500 0.2475 (multiplicity 4)
S 0.2377 0.2500 0.5163 (multiplicity 4)

Top 6 peaks for 10 to 80 degrees two-theta, by intensity:
two_theta	I (rel.)	hkl
27.2	100.0	2 1 0
14.9	89.5	1 0 2
24.3	87.4	2 0 3
34.3	54.1	3 1 2
42.2	44.0	4 1 3
32.2	33.7	3 1 1



(3)
For LiSnP3O9, a crystal structure in the Materials Project, relaxed with GGA-PBE gives the simulated X-ray diffraction stick pattern in this record (λ = 1.5418 Å (Cu Kα)).
Kinematic intensities with the Lorentz-polarization factor, no thermal factor.

Atomic structure:
Cell: 6.6233 6.6233 10.0162 Å, 90.00 90.00 120.00°
Space group P-6c2 (No. 188)
Symmetry-distinct sites (fractional):
Li 0.0000 0.0000 0.0000 (multiplicity 2)
Sn 0.6667 0.3333 0.0000 (multiplicity 2)
P 0.0854 0.3944 0.2500 (multiplicity 6)
O 0.1045 0.4573 0.7500 (multiplicity 6)
O 0.3029 0.0271 0.1205 (multiplicity 12)

Top 6 peaks for 10 to 80 degrees two-theta, by intensity:
two_theta	I (rel.)	hkl
23.6	100.0	1 0 2
32.4	51.9	1 1 2
15.4	41.2	1 0 0
28.4	23.6	1 1 1
41.7	21.8	2 1 0
31.2	21.7	2 0 0



(4)
For HoSeClO3, a crystal structure in the Materials Project, relaxed with GGA-PBE gives the simulated X-ray diffraction stick pattern in this record (λ = 1.5418 Å (Cu Kα)).
Kinematic intensities with the Lorentz-polarization factor, no thermal factor.

Atomic structure:
Cell: 7.2797 6.9893 8.8556 Å, 90.00 90.00 90.00°
Space group Pnma (No. 62)
Symmetry-distinct sites (fractional):
Ho 0.1044 0.2500 0.0390 (multiplicity 4)
Se 0.2092 0.2500 0.6333 (multiplicity 4)
Cl 0.0588 0.7500 0.6828 (multiplicity 4)
O 0.1409 0.5722 0.0675 (multiplicity 8)
O 0.2478 0.7500 0.3221 (multiplicity 4)

Top 6 peaks for 10 to 80 degrees two-theta, by intensity:
two_theta	I (rel.)	hkl
15.8	100.0	1 0 1
25.5	89.5	0 2 0
23.5	57.1	1 0 2
27.6	46.3	2 1 0
40.7	45.9	3 1 1
34.4	43.1	2 1 2



(5)
For Ca2Sb2O7, a crystal structure in the Materials Project, relaxed with GGA-PBE gives the simulated X-ray diffraction stick pattern in this record (λ = 1.5418 Å (Cu Kα)).
Kinematic intensities with the Lorentz-polarization factor, no thermal factor.

Atomic structure:
Cell: 10.3887 10.3887 10.3887 Å, 90.00 90.00 90.00°
Space group Fd-3m (No. 227, origin choice 2)
Symmetry-distinct sites (fractional):
Ca 0.0000 0.0000 0.0000 (multiplicity 16)
Sb 0.0000 0.0000 0.5000 (multiplicity 16)
O 0.1099 0.3750 0.8750 (multiplicity 48)
O 0.1250 0.1250 0.6250 (multiplicity 8)

Top 6 peaks for 10 to 80 degrees two-theta, by intensity:
two_theta	I (rel.)	hkl
29.8	100.0	2 2 2
49.6	59.0	4 4 0
14.8	47.2	1 1 1
59.0	40.4	6 2 2
34.5	21.1	4 0 0
28.5	14.4	3 1 1



(6)
For HgCBr3N, a crystal structure in the Materials Project, relaxed with GGA-PBE gives the simulated X-ray diffraction stick pattern in this record (λ = 1.5418 Å (Cu Kα)).
Kinematic intensities with the Lorentz-polarization factor, no thermal factor.

Atomic structure:
Cell: 8.1460 15.4467 6.5525 Å, 90.00 90.00 90.00°
Space group Cmcm (No. 63)
Symmetry-distinct sites (fractional):
Hg 0.0000 0.0853 0.2500 (multiplicity 4)
C 0.0000 0.4241 0.2500 (multiplicity 4)
Br 0.0000 0.0823 0.7500 (multiplicity 4)
Br 0.2247 0.3344 0.7500 (multiplicity 8)
N 0.0000 0.3480 0.2500 (multiplicity 4)

Top 6 peaks for 10 to 80 degrees two-theta, by intensity:
two_theta	I (rel.)	hkl
12.3	100.0	1 1 0
17.8	51.1	0 2 1
27.2	42.2	0 0 2
30.0	26.3	1 1 2
50.3	26.2	2 6 2
41.5	23.1	2 6 0



(7)
For DySbPd, a crystal structure in the Materials Project, relaxed with GGA-PBE gives the simulated X-ray diffraction stick pattern in this record (λ = 1.5418 Å (Cu Kα)).
Kinematic intensities with the Lorentz-polarization factor, no thermal factor.

Atomic structure:
Cell: 6.6022 6.6022 6.6022 Å, 90.00 90.00 90.00°
Space group F-43m (No. 216)
Symmetry-distinct sites (fractional):
Dy 0.0000 0.0000 0.0000 (multiplicity 4)
Sb 0.0000 0.0000 0.5000 (multiplicity 4)
Pd 0.2500 0.2500 0.2500 (multiplicity 4)

Top 6 peaks for 10 to 80 degrees two-theta, by intensity:
two_theta	I (rel.)	hkl
38.6	100.0	2 2 0
69.8	34.4	4 2 2
27.0	25.1	2 0 0
23.3	21.9	1 1 1
55.7	17.0	4 0 0
45.6	10.9	3 1 1



(8)
For Nd6MnSi2S14, a crystal structure in the Materials Project, relaxed with GGA-PBE gives the simulated X-ray diffraction stick pattern in this record (λ = 1.5418 Å (Cu Kα)).
Kinematic intensities with the Lorentz-polarization factor, no thermal factor.

Atomic structure:
Cell: 10.2318 10.2318 5.7066 Å, 90.00 90.00 120.00°
Space group P3 (No. 143)
Symmetry-distinct sites (fractional):
Nd 0.0227 0.5671 0.0000 (multiplicity 3)
Nd 0.3099 0.0993 0.5015 (multiplicity 3)
Mn 0.6667 0.3333 0.2630 (multiplicity 1)
Si 0.0000 0.0000 0.9165 (multiplicity 1)
Si 0.3333 0.6667 0.4149 (multiplicity 1)
S 0.0000 0.0000 0.2851 (multiplicity 1)
S 0.0757 0.8556 0.7720 (multiplicity 3)
S 0.1894 0.4466 0.2705 (multiplicity 3)
S 0.3333 0.6667 0.7838 (multiplicity 1)
S 0.4219 0.1727 0.0233 (multiplicity 3)
S 0.5043 0.4153 0.5019 (multiplicity 3)

Top 6 peaks for 10 to 80 degrees two-theta, by intensity:
two_theta	I (rel.)	hkl
25.5	100.0	0 2 1
39.9	56.6	3 1 1
36.6	52.9	1 3 0
23.4	47.1	2 -1 1
37.5	34.8	2 0 2
41.6	34.6	1 2 2



(9)
For NaB3H8, a crystal structure in the Materials Project, relaxed with GGA-PBE gives the simulated X-ray diffraction stick pattern in this record (λ = 1.5418 Å (Cu Kα)).
Kinematic intensities with the Lorentz-polarization factor, no thermal factor.

Atomic structure:
Cell: 4.7139 8.4318 5.9841 Å, 90.00 90.00 90.00°
Space group Pmmn (No. 59, origin choice 2)
Symmetry-distinct sites (fractional):
Na 0.2500 0.2500 0.0502 (multiplicity 2)
B 0.2500 0.6444 0.2324 (multiplicity 4)
B 0.2500 0.7500 0.4898 (multiplicity 2)
H 0.0323 0.7500 0.5976 (multiplicity 4)
H 0.0342 0.5872 0.1565 (multiplicity 8)
H 0.2500 0.5846 0.4270 (multiplicity 4)

Top 6 peaks for 10 to 80 degrees two-theta, by intensity:
two_theta	I (rel.)	hkl
26.3	100.0	1 1 1
21.1	57.5	0 2 0
24.0	51.0	1 0 1
37.2	32.8	1 3 0
40.3	26.7	1 3 1
38.2	15.8	2 0 0



(10)
For P4S3O6, a crystal structure in the Materials Project, relaxed with GGA-PBE gives the simulated X-ray diffraction stick pattern in this record (λ = 1.5418 Å (Cu Kα)).
Kinematic intensities with the Lorentz-polarization factor, no thermal factor.

Atomic structure:
Cell: 12.9530 8.6831 10.1848 Å, 90.00 91.10 90.00°
Space group P2_1/c (No. 14)
Symmetry-distinct sites (fractional):
P 0.1330 0.0150 0.3291 (multiplicity 4)
P 0.2096 0.0608 0.5990 (multiplicity 4)
P 0.2659 0.7142 0.9496 (multiplicity 4)
P 0.3492 0.0816 0.3760 (multiplicity 4)
S 0.0219 0.0453 0.2102 (multiplicity 4)
S 0.2948 0.5741 0.4593 (multiplicity 4)
S 0.4642 0.1822 0.3067 (multiplicity 4)
O 0.1196 0.0760 0.4782 (multiplicity 4)
O 0.1689 0.6637 0.8532 (multiplicity 4)
O 0.2375 0.6273 0.0850 (multiplicity 4)
O 0.2419 0.0958 0.2884 (multiplicity 4)
O 0.3109 0.1345 0.5198 (multiplicity 4)
O 0.3583 0.6055 0.8934 (multiplicity 4)

Top 6 peaks for 10 to 80 degrees two-theta, by intensity:
two_theta	I (rel.)	hkl
13.4	100.0	0 1 1
13.7	54.9	2 0 0
22.4	41.0	2 0 2
18.6	27.0	1 0 -2
24.5	25.2	3 1 -1
15.1	19.7	1 1 1